1.
Diffraction record for Ga2BiS4. The powder XRD pattern is computed, not measured: it uses a cell relaxed with GGA-PBE and a wavelength of 1.5418 Å.

Cell and atoms:
```
data_Ga2BiS4
_cell_length_a 7.6733
_cell_length_b 7.6733
_cell_length_c 12.2508
_cell_angle_alpha 90.00
_cell_angle_beta 90.00
_cell_angle_gamma 90.00
_symmetry_space_group_name_H-M 'P 4/n n c'
_symmetry_Int_Tables_number 126
loop_
_symmetry_equiv_pos_as_xyz
'x,y,z'
'-x,-y,-z'
'-y+1/2,x,z'
'y+1/2,-x,-z'
'-x+1/2,-y+1/2,z'
'x+1/2,y+1/2,-z'
'y,-x+1/2,z'
'-y,x+1/2,-z'
'x,-y+1/2,-z+1/2'
'-x,y+1/2,z+1/2'
'-y+1/2,-x+1/2,-z+1/2'
'y+1/2,x+1/2,z+1/2'
'-x+1/2,y,-z+1/2'
'x+1/2,-y,z+1/2'
'y,x,-z+1/2'
'-y,-x,z+1/2'
loop_
_atom_site_label
_atom_site_fract_x
_atom_site_fract_y
_atom_site_fract_z
Ga1 0.2500 0.7500 0.0000
Ga2 0.2500 0.7500 0.2500
Bi1 0.2500 0.2500 0.1210
S1 0.0882 0.5920 0.6252
```

Top 12 peaks for 10 to 90 degrees two-theta, sorted by position:
- 13.62°, rel. 100
- 23.18°, rel. 64
- 24.70°, rel. 31
- 26.98°, rel. 40
- 29.84°, rel. 17
- 33.02°, rel. 44
- 33.60°, rel. 58
- 34.13°, rel. 27
- 47.82°, rel. 77
- 53.40°, rel. 24
- 69.60°, rel. 20
- 79.23°, rel. 15

=====

2.
Diffraction record for GaBiS. The powder XRD pattern is computed, not measured: it uses a cell relaxed with GGA-PBE and a wavelength of 1.5418 Å.

Cell and atoms:
```
data_GaBiS
_cell_length_a 10.0288
_cell_length_b 10.0288
_cell_length_c 9.7817
_cell_angle_alpha 90.00
_cell_angle_beta 90.00
_cell_angle_gamma 90.00
_symmetry_space_group_name_H-M 'I 4/m c m'
_symmetry_Int_Tables_number 140
_symmetry_space_group_name_Hall '-I 4 2c'
loop_
_atom_site_label
_atom_site_fract_x
_atom_site_fract_y
_atom_site_fract_z
Ga1 0.2500 0.2500 0.2500
Bi1 0.1344 0.3656 0.0000
S1 0.1413 0.3587 0.5000
```

Top 12 peaks for 10 to 90 degrees two-theta, sorted by position:
- 12.48°, rel. 62
- 17.69°, rel. 29
- 18.14°, rel. 34
- 21.80°, rel. 100
- 22.08°, rel. 34
- 28.14°, rel. 30
- 33.49°, rel. 23
- 33.68°, rel. 37
- 33.99°, rel. 35
- 36.75°, rel. 21
- 40.43°, rel. 61
- 49.85°, rel. 17

=====

3.
Diffraction record for GaBiSe. The powder XRD pattern is computed, not measured: it uses a cell relaxed with GGA-PBE and a wavelength of 1.5418 Å.

Cell and atoms:
```
data_GaBiSe
_cell_length_a 10.3818
_cell_length_b 10.3818
_cell_length_c 9.7203
_cell_angle_alpha 90.00
_cell_angle_beta 90.00
_cell_angle_gamma 90.00
_symmetry_space_group_name_H-M 'I 4/m c m'
_symmetry_Int_Tables_number 140
_symmetry_space_group_name_Hall '-I 4 2c'
loop_
_atom_site_label
_atom_site_fract_x
_atom_site_fract_y
_atom_site_fract_z
Ga1 0.2500 0.2500 0.2500
Bi1 0.1425 0.3575 0.0000
Se1 0.1401 0.3599 0.5000
```

Top 12 peaks for 10 to 90 degrees two-theta, sorted by position:
- 12.06°, rel. 97
- 17.08°, rel. 64
- 18.25°, rel. 68
- 21.21°, rel. 77
- 21.93°, rel. 51
- 27.16°, rel. 61
- 32.92°, rel. 75
- 36.73°, rel. 28
- 36.99°, rel. 34
- 39.36°, rel. 100
- 41.31°, rel. 41
- 46.49°, rel. 29

=====

Repeat the second record exactly.
Diffraction record for GaBiS. The powder XRD pattern is computed, not measured: it uses a cell relaxed with GGA-PBE and a wavelength of 1.5418 Å.

Cell and atoms:
```
data_GaBiS
_cell_length_a 10.0288
_cell_length_b 10.0288
_cell_length_c 9.7817
_cell_angle_alpha 90.00
_cell_angle_beta 90.00
_cell_angle_gamma 90.00
_symmetry_space_group_name_H-M 'I 4/m c m'
_symmetry_Int_Tables_number 140
_symmetry_space_group_name_Hall '-I 4 2c'
loop_
_atom_site_label
_atom_site_fract_x
_atom_site_fract_y
_atom_site_fract_z
Ga1 0.2500 0.2500 0.2500
Bi1 0.1344 0.3656 0.0000
S1 0.1413 0.3587 0.5000
```

Top 12 peaks for 10 to 90 degrees two-theta, sorted by position:
- 12.48°, rel. 62
- 17.69°, rel. 29
- 18.14°, rel. 34
- 21.80°, rel. 100
- 22.08°, rel. 34
- 28.14°, rel. 30
- 33.49°, rel. 23
- 33.68°, rel. 37
- 33.99°, rel. 35
- 36.75°, rel. 21
- 40.43°, rel. 61
- 49.85°, rel. 17